For Li4Ti3Cr2Co3O16, a crystal structure in the Materials Project, relaxed with PBE+U gives the computed powder diffractogram in this record (Cu Kα (weighted mean of Kα1 and Kα2)).

Peak list (8 most intense, 2θ = 10–90°, low angle first)
2theta  Rel. int.
18.5  80
19.7  100
35.8  45
36.5  40
40.2  28
45.5  39
60.3  28
63.6  33

```
data_Li4Ti3Cr2Co3O16
_chemical_formula_sum 'Li4 Ti3 Cr2 Co3 O16'
_symmetry_space_group_name_H-M 'P 1'
_symmetry_Int_Tables_number 1
_cell_length_a 5.855
_cell_length_b 5.855
_cell_length_c 9.575
_cell_angle_alpha 90.45
_cell_angle_beta 90.45
_cell_angle_gamma 60.46
loop_
_symmetry_equiv_pos_as_xyz
'x,y,z'
loop_
_atom_site_label
_atom_site_fract_x
_atom_site_fract_y
_atom_site_fract_z
Li1 0.000 0.000 0.000
Li2 0.004 0.004 0.504
Li3 0.324 0.324 0.608
Li4 0.657 0.657 0.102
Ti1 0.159 0.655 0.284
Ti2 0.655 0.159 0.284
Ti3 0.821 0.821 0.782
Cr1 0.326 0.326 0.013
Cr2 0.657 0.657 0.516
Co1 0.163 0.163 0.286
Co2 0.330 0.821 0.789
Co3 0.821 0.330 0.789
O1 0.032 0.478 0.156
O2 0.155 0.664 0.897
O3 0.160 0.160 0.892
O4 0.322 0.822 0.395
O5 0.326 0.326 0.393
O6 0.473 0.473 0.161
O7 0.478 0.032 0.156
O8 0.512 0.512 0.662
O9 0.518 0.955 0.657
O10 0.663 0.663 0.897
O11 0.664 0.155 0.897
O12 0.822 0.322 0.395
O13 0.828 0.828 0.394
O14 0.955 0.518 0.657
O15 0.995 0.995 0.691
O16 0.997 0.997 0.188
```